Simulated PXRD pattern
Compound: CaHoWO6
Radiation: λ = 1.5418 Å (Cu Kα)
Structure: a PBE+U-relaxed structure
Intensities are scaled so that the largest is 100.

Principal peaks in the range 2θ = 15–90°, most intense first:
2θ (°)  I (rel.)
18.3  100.0
26.0  76.9
37.1  73.0
32.0  54.9
49.8  54.4
41.7  27.9
70.0  27.4
53.5  25.6

Atomic structure:
a b c (Å): 5.5982 5.5982 4.8454
angles (deg): 90.00 90.00 120.00
Space group P312 (No. 149)
One atom of each set of equivalent atoms:
Ca1 0.0000 0.0000 0.0000 (multiplicity 1)
Ho1 0.3333 0.6667 0.5000 (multiplicity 1)
W1 0.6667 0.3333 0.5000 (multiplicity 1)
O1 0.3761 0.0397 0.7216 (multiplicity 6)